Starting from the GGA-PBE geometry in Alexandria, the powder XRD pattern of Ca2MnTc was simulated for copper Kα.
Peak positions follow from Bragg's law for the DFT cell and can differ from measured ones.

Structural model:
```
data_Ca2MnTc
_symmetry_space_group_name_H-M 'C 1 m 1'
_symmetry_Int_Tables_number 8
_cell_length_a 6.7968
_cell_length_b 3.9246
_cell_length_c 8.3959
_cell_angle_alpha 90.00
_cell_angle_beta 105.55
_cell_angle_gamma 90.00
loop_
_symmetry_equiv_pos_as_xyz
'x,y,z'
'x,-y,z'
'x+1/2,y+1/2,z'
'x+1/2,-y+1/2,z'
loop_
_atom_site_label
_atom_site_fract_x
_atom_site_fract_y
_atom_site_fract_z
Ca1 0.0000 0.0000 0.0000
Ca2 0.1804 0.0000 0.5452
Mn1 0.4291 0.0000 0.2894
Tc1 0.2529 0.5000 0.2607
```

Most intense lines, 2θ from 10° to 90°, by angle:
hkl	d (Å)	I (rel.)
0 0 1	8.089	100
2 0 -2	2.965	31
1 1 -2	2.784	23
1 1 2	2.427	20
0 2 0	1.962	22
3 1 0	1.907	15